No. 1
Diffraction record for Rb2ScAlBr6. The powder X-ray diffraction pattern is theoretical, not measured: it uses a GGA-PBE-relaxed structure and Cu Kα, 1.54184 Å.
Intensities are scaled so that the largest is 100.

Largest 6 diffraction maxima, most intense first, 2θ from 10° to 80°:
2θ = 27.3°, intensity 100.0
2θ = 31.7°, intensity 78.5
2θ = 45.4°, intensity 54.6
2θ = 53.8°, intensity 41.3
2θ = 75.2°, intensity 22.2
2θ = 56.4°, intensity 18.3

```
Rb2ScAlBr6
1.0
0.0000 5.6518 5.6518
5.6518 0.0000 5.6518
5.6518 5.6518 0.0000
Rb Sc Al Br
2 1 1 6
direct
0.2500 0.2500 0.2500
0.7500 0.7500 0.7500
0.0000 0.0000 0.0000
0.5000 0.5000 0.5000
0.2365 0.2365 0.7635
0.2365 0.7635 0.2365
0.2365 0.7635 0.7635
0.7635 0.2365 0.2365
0.7635 0.2365 0.7635
0.7635 0.7635 0.2365
```

---

No. 2
Diffraction record for Rb2SrAlBr6. The powder X-ray diffraction pattern is theoretical, not measured: it uses a GGA-PBE-relaxed structure and Cu Kα, 1.54184 Å.
Intensities are scaled so that the largest is 100.

Largest 6 diffraction maxima, most intense first, 2θ from 10° to 80°:
2θ = 31.2°, intensity 100.0
2θ = 27.0°, intensity 97.4
2θ = 44.8°, intensity 70.4
2θ = 53.0°, intensity 40.0
2θ = 74.0°, intensity 29.3
2θ = 55.6°, intensity 23.8

```
Rb2SrAlBr6
1.0
0.0000 5.7277 5.7277
5.7277 0.0000 5.7277
5.7277 5.7277 0.0000
Rb Sr Al Br
2 1 1 6
direct
0.2500 0.2500 0.2500
0.7500 0.7500 0.7500
0.0000 0.0000 0.0000
0.5000 0.5000 0.5000
0.2630 0.2630 0.7370
0.2630 0.7370 0.2630
0.2630 0.7370 0.7370
0.7370 0.2630 0.2630
0.7370 0.2630 0.7370
0.7370 0.7370 0.2630
```

---

No. 3
Diffraction record for AlSeBr2. The powder X-ray diffraction pattern is theoretical, not measured: it uses a GGA-PBE-relaxed structure and Cu Kα, 1.54184 Å.
Intensities are scaled so that the largest is 100.

Largest 6 diffraction maxima, most intense first, 2θ from 10° to 80°:
2θ = 32.0°, intensity 100.0
2θ = 12.4°, intensity 97.4
2θ = 25.4°, intensity 96.5
2θ = 36.4°, intensity 91.5
2θ = 51.1°, intensity 67.6
2θ = 34.6°, intensity 52.8

```
AlSeBr2
1.0
2.5904 -7.1320 0.0000
2.5904 7.1320 0.0000
0.0000 0.0000 3.4157
Al Se Br
1 1 2
direct
0.0000 0.0000 0.0000
0.5000 0.5000 0.0000
0.1266 0.8734 0.5000
0.8734 0.1266 0.5000
```